1.
The following is a calculated powder diffractogram of La2In6Au3. It was derived from a crystal structure in Alexandria, relaxed with GGA-PBE, using Cu Kα X-rays.
Neutral-atom scattering factors, no anomalous dispersion.

Structure:
abc: 8.5285 8.5285 4.5072
angles: 90.00 90.00 120.00
Positions (direct):
La 0.3333 0.6667 0.0000
La 0.6667 0.3333 0.0000
In 0.0000 0.3033 0.5000
In 0.0000 0.8007 0.0000
In 0.1993 0.1993 0.0000
In 0.3033 0.0000 0.5000
In 0.6967 0.6967 0.5000
In 0.8007 0.0000 0.0000
Au 0.0000 0.6192 0.5000
Au 0.3808 0.3808 0.5000
Au 0.6192 0.0000 0.5000

Main lines, low angle first (5 to 70 degrees two-theta):
2θ/deg, I_rel
20.8, 31
28.8, 100
31.3, 22
36.5, 51
37.9, 76
40.0, 35
41.8, 24
44.2, 24
55.3, 31
61.1, 47

2.
The following is a calculated powder diffractogram of Ba4ZnSi3. It was derived from a crystal structure in Alexandria, relaxed with GGA-PBE, using Cu Kα X-rays.
Neutral-atom scattering factors, no anomalous dispersion.

Structure:
abc: 4.3007 4.9655 12.4803
angles: 90.00 90.00 90.00
Positions (direct):
Ba 0.0000 0.0000 0.0000
Ba 0.0000 0.5000 0.4810
Ba 0.5000 0.0000 0.7114
Ba 0.5000 0.5000 0.2106
Zn 0.0000 0.5000 0.8084
Si 0.0000 0.0000 0.2915
Si 0.5000 0.0000 0.4027
Si 0.5000 0.5000 0.9141

Main lines, low angle first (5 to 70 degrees two-theta):
2θ/deg, I_rel
19.2, 20
25.1, 58
28.0, 74
28.4, 100
28.6, 23
35.0, 40
36.2, 29
42.0, 19
44.6, 25
51.2, 27

3.
The following is a calculated powder diffractogram of BH6Pd12. It was derived from a crystal structure in Alexandria, relaxed with GGA-PBE, using Cu Kα X-rays.
Neutral-atom scattering factors, no anomalous dispersion.

Structure:
abc: 5.6978 5.7987 7.6718
angles: 67.88 68.43 74.73
Positions (direct):
B 0.0000 0.0000 0.0000
H 0.1702 0.6010 0.7329
H 0.3131 0.5097 0.3061
H 0.4887 0.9220 0.3944
H 0.5113 0.0780 0.6056
H 0.6869 0.4903 0.6939
H 0.8298 0.3990 0.2671
Pd 0.0468 0.6347 0.1977
Pd 0.0542 0.1297 0.2007
Pd 0.2727 0.1925 0.4720
Pd 0.2746 0.6979 0.4646
Pd 0.3850 0.4622 0.8773
Pd 0.3926 0.9626 0.8727
Pd 0.6074 0.0374 0.1273
Pd 0.6150 0.5378 0.1227
Pd 0.7254 0.3021 0.5354
Pd 0.7273 0.8075 0.5280
Pd 0.9458 0.8703 0.7993
Pd 0.9532 0.3653 0.8023

Main lines, low angle first (5 to 70 degrees two-theta):
2θ/deg, I_rel
35.6, 30
35.9, 13
36.5, 53
39.9, 25
40.2, 100
40.4, 29
40.6, 29
51.4, 9
63.8, 10
64.3, 20

4.
The following is a calculated powder diffractogram of Yb2Fe3Si5. It was derived from a crystal structure in Alexandria, relaxed with GGA-PBE, using Cu Kα X-rays.
Neutral-atom scattering factors, no anomalous dispersion.

Structure:
abc: 10.3376 10.3376 5.4444
angles: 90.00 90.00 90.00
Positions (direct):
Yb 0.0711 0.2334 0.0000
Yb 0.2334 0.9289 0.0000
Yb 0.2666 0.4289 0.5000
Yb 0.4289 0.7334 0.5000
Yb 0.5711 0.2666 0.5000
Yb 0.7334 0.5711 0.5000
Yb 0.7666 0.0711 0.0000
Yb 0.9289 0.7666 0.0000
Fe 0.0000 0.5000 0.2500
Fe 0.0000 0.5000 0.7500
Fe 0.1219 0.8529 0.5000
Fe 0.1471 0.1219 0.5000
Fe 0.3529 0.6219 0.0000
Fe 0.3781 0.3529 0.0000
Fe 0.5000 0.0000 0.2500
Fe 0.5000 0.0000 0.7500
Fe 0.6219 0.6471 0.0000
Fe 0.6471 0.3781 0.0000
Fe 0.8529 0.8781 0.5000
Fe 0.8781 0.1471 0.5000
Si 0.0000 0.0000 0.2674
Si 0.0000 0.0000 0.7326
Si 0.0258 0.3185 0.5000
Si 0.1760 0.6760 0.2500
Si 0.1760 0.6760 0.7500
Si 0.1815 0.4742 0.0000
Si 0.3185 0.9742 0.5000
Si 0.3240 0.1760 0.2500
Si 0.3240 0.1760 0.7500
Si 0.4742 0.8185 0.0000
Si 0.5000 0.5000 0.2326
Si 0.5000 0.5000 0.7674
Si 0.5258 0.1815 0.0000
Si 0.6760 0.8240 0.2500
Si 0.6760 0.8240 0.7500
Si 0.6815 0.0258 0.5000
Si 0.8185 0.5258 0.0000
Si 0.8240 0.3240 0.2500
Si 0.8240 0.3240 0.7500
Si 0.9742 0.6815 0.5000

Main lines, low angle first (5 to 70 degrees two-theta):
2θ/deg, I_rel
25.3, 31
31.9, 100
32.9, 27
35.8, 33
38.4, 27
39.0, 25
39.6, 46
41.4, 52
54.4, 23
58.1, 18

5.
The following is a calculated powder diffractogram of Zn3Cu8Ge. It was derived from a crystal structure in Alexandria, relaxed with GGA-PBE, using Cu Kα X-rays.
Neutral-atom scattering factors, no anomalous dispersion.

Structure:
abc: 6.3670 6.3670 6.3670
angles: 117.41 117.41 94.54
Positions (direct):
Zn 0.0000 0.0000 0.0000
Zn 0.2500 0.7500 0.5000
Zn 0.7500 0.2500 0.5000
Cu 0.1186 0.3902 0.0000
Cu 0.2431 0.2431 0.5005
Cu 0.2574 0.7569 0.0000
Cu 0.3902 0.1186 0.0000
Cu 0.6098 0.6098 0.7283
Cu 0.7426 0.7426 0.4995
Cu 0.7569 0.2574 0.0000
Cu 0.8814 0.8814 0.2717
Ge 0.5000 0.5000 0.0000

Main lines, low angle first (5 to 70 degrees two-theta):
2θ/deg, I_rel
28.1, 34
32.0, 72
34.1, 39
38.5, 82
41.8, 69
43.9, 29
44.0, 26
48.3, 100
58.1, 46
59.9, 38

6.
The following is a calculated powder diffractogram of HoVOs. It was derived from a crystal structure in Alexandria, relaxed with GGA-PBE, using Cu Kα X-rays.
Neutral-atom scattering factors, no anomalous dispersion.

Structure:
abc: 5.3295 5.5363 7.2800
angles: 90.00 90.00 90.00
Positions (direct):
Ho 0.0000 0.2500 0.1297
Ho 0.0000 0.7500 0.8703
Ho 0.5000 0.2500 0.3703
Ho 0.5000 0.7500 0.6297
V 0.2500 0.2500 0.7500
V 0.2500 0.7500 0.2500
V 0.7500 0.2500 0.7500
V 0.7500 0.7500 0.2500
Os 0.0000 0.0000 0.5000
Os 0.0000 0.5000 0.5000
Os 0.5000 0.0000 0.0000
Os 0.5000 0.5000 0.0000

Main lines, low angle first (5 to 70 degrees two-theta):
2θ/deg, I_rel
20.7, 15
24.5, 14
33.6, 37
33.9, 42
38.7, 100
39.5, 30
40.9, 76
42.0, 23
60.9, 14
63.5, 24

7.
The following is a calculated powder diffractogram of Tb2Pm2TmMg2. It was derived from a crystal structure in Alexandria, relaxed with GGA-PBE, using Cu Kα X-rays.
Neutral-atom scattering factors, no anomalous dispersion.

Structure:
abc: 8.6700 8.6700 8.6700
angles: 36.80 36.80 36.80
Positions (direct):
Tb 0.0744 0.0744 0.0744
Tb 0.9256 0.9256 0.9256
Pm 0.3448 0.3448 0.3448
Pm 0.6552 0.6552 0.6552
Tm 0.5000 0.5000 0.5000
Mg 0.2097 0.2097 0.2097
Mg 0.7903 0.7903 0.7903

Main lines, low angle first (5 to 70 degrees two-theta):
2θ/deg, I_rel
11.0, 11
20.1, 19
26.3, 38
32.0, 94
32.7, 100
46.4, 34
56.7, 32
58.0, 35
58.4, 19
68.6, 12

8.
The following is a calculated powder diffractogram of Ti8Nb3Rh2. It was derived from a crystal structure in Alexandria, relaxed with GGA-PBE, using Cu Kα X-rays.
Neutral-atom scattering factors, no anomalous dispersion.

Structure:
abc: 6.8632 4.3663 7.8932
angles: 90.00 108.15 90.00
Positions (direct):
Ti 0.0582 0.0000 0.3374
Ti 0.1203 0.5000 0.8833
Ti 0.3590 0.5000 0.2666
Ti 0.3769 0.0000 0.8080
Ti 0.6231 0.0000 0.1920
Ti 0.6410 0.5000 0.7334
Ti 0.8797 0.5000 0.1167
Ti 0.9418 0.0000 0.6626
Nb 0.2105 0.5000 0.5689
Nb 0.5000 0.0000 0.5000
Nb 0.7895 0.5000 0.4311
Rh 0.2153 0.0000 0.0789
Rh 0.7847 0.0000 0.9211

Main lines, low angle first (5 to 70 degrees two-theta):
2θ/deg, I_rel
23.4, 11
23.6, 19
25.3, 12
27.3, 8
39.2, 100
40.1, 99
41.0, 46
41.4, 47
55.0, 16
59.6, 29